Starting from a crystal structure in the Materials Project, relaxed with GGA+U, the XRD peak list of Li2TiV3O8 was calculated for λ = 1.5418 Å (Cu Kα).
Lines closer than 0.1° are merged.

Crystal structure
```
data_Li2TiV3O8
_chemical_formula_sum 'Li4 Ti2 V6 O16'
_cell_length_a 5.984
_cell_length_b 5.983
_cell_length_c 8.508
_cell_angle_alpha 90.00
_cell_angle_beta 90.50
_cell_angle_gamma 90.00
_symmetry_space_group_name_H-M 'P 1 2 1'
_symmetry_Int_Tables_number 3
loop_
_symmetry_equiv_pos_as_xyz
'x,y,z'
'-x,y,-z'
loop_
_atom_site_label
_atom_site_type_symbol
_atom_site_fract_x
_atom_site_fract_y
_atom_site_fract_z
Li1 Li 0.248 0.000 0.375
Li2 Li 0.251 0.496 0.123
Ti1 Ti 0.000 0.503 0.500
Ti2 Ti 0.500 0.994 0.000
V1 V 0.000 0.002 0.000
V2 V 0.250 0.748 0.751
V3 V 0.252 0.250 0.752
V4 V 0.500 0.490 0.500
O1 O 0.020 0.494 0.734
O2 O 0.031 0.014 0.760
O3 O 0.245 0.270 0.515
O4 O 0.246 0.717 0.509
O5 O 0.257 0.775 0.990
O6 O 0.258 0.227 0.985
O7 O 0.467 0.482 0.745
O8 O 0.480 0.002 0.765
```

Top 6 peaks for 2θ = 10–80°, by intensity:
2θ (°)	intensity	index
18.10	100	1 0 -1
42.74	52	2 2 0
18.20	33	1 0 1
62.06	31	2 2 4
42.50	27	0 0 4
35.15	25	1 2 -1

Starting from a crystal structure in the Materials Project, relaxed with GGA+U, the XRD peak list of Li2TiVO4 was calculated for λ = 1.5418 Å (Cu Kα).
Lines closer than 0.1° are merged.

Crystal structure
```
data_Li2TiVO4
_chemical_formula_sum 'Li6 Ti3 V3 O12'
_cell_length_a 5.229
_cell_length_b 5.988
_cell_length_c 7.905
_cell_angle_alpha 100.92
_cell_angle_beta 109.02
_cell_angle_gamma 90.17
_symmetry_space_group_name_H-M 'P -1'
_symmetry_Int_Tables_number 2
loop_
_symmetry_equiv_pos_as_xyz
'x,y,z'
'-x,-y,-z'
loop_
_atom_site_label
_atom_site_type_symbol
_atom_site_fract_x
_atom_site_fract_y
_atom_site_fract_z
Li1 Li 0.001 0.415 0.167
Li2 Li 0.002 0.926 0.167
Li3 Li 0.003 0.247 0.498
Ti1 Ti 0.497 0.316 0.835
Ti2 Ti 0.500 0.500 0.500
V1 V 0.499 0.178 0.165
V2 V 0.500 0.000 0.500
O1 O 0.261 0.869 0.011
O2 O 0.264 0.051 0.678
O3 O 0.265 0.225 0.342
O4 O 0.272 0.392 0.996
O5 O 0.274 0.524 0.664
O6 O 0.274 0.696 0.333
```

Top 6 peaks for 2θ = 10–80°, by intensity:
2θ (°)	intensity	index
17.99	100	1 0 0
42.58	61	2 0 -3
35.18	40	1 0 -3
42.69	30	1 2 1
61.70	16	2 0 3
62.10	16	-1 2 4

Starting from a crystal structure in the Materials Project, relaxed with GGA+U, the XRD peak list of Li2TiV2O6 was calculated for λ = 1.5418 Å (Cu Kα).
Lines closer than 0.1° are merged.

Crystal structure
```
data_Li2TiV2O6
_chemical_formula_sum 'Li4 Ti2 V4 O12'
_cell_length_a 6.032
_cell_length_b 2.978
_cell_length_c 13.165
_cell_angle_alpha 90.00
_cell_angle_beta 103.10
_cell_angle_gamma 90.00
_symmetry_space_group_name_H-M 'P 1 21/m 1'
_symmetry_Int_Tables_number 11
loop_
_symmetry_equiv_pos_as_xyz
'x,y,z'
'-x,-y,-z'
'-x,y+1/2,-z'
'x,-y+1/2,z'
loop_
_atom_site_label
_atom_site_type_symbol
_atom_site_fract_x
_atom_site_fract_y
_atom_site_fract_z
Li1 Li 0.095 0.250 0.412
Li2 Li 0.404 0.250 0.092
Ti1 Ti 0.245 0.250 0.746
V1 V 0.069 0.750 0.911
V2 V 0.436 0.750 0.588
O1 O 0.034 0.750 0.747
O2 O 0.145 0.750 0.073
O3 O 0.193 0.250 0.593
O4 O 0.305 0.250 0.904
O5 O 0.348 0.750 0.429
O6 O 0.464 0.750 0.748
```

Top 6 peaks for 2θ = 10–80°, by intensity:
2θ (°)	intensity	index
17.98	100	1 0 1
42.67	46	2 1 -1
42.29	23	0 0 6
35.22	23	1 1 -2
61.55	17	2 1 5
61.70	13	2 1 -7

Starting from a crystal structure in the Materials Project, relaxed with GGA+U, the XRD peak list of Li2TiVO4 was calculated for λ = 1.5418 Å (Cu Kα).
Lines closer than 0.1° are merged.

Crystal structure
```
data_Li2TiVO4
_chemical_formula_sum 'Li16 Ti8 V8 O32'
_cell_length_a 10.335
_cell_length_b 11.864
_cell_length_c 6.029
_cell_angle_alpha 90.00
_cell_angle_beta 124.96
_cell_angle_gamma 90.00
_symmetry_space_group_name_H-M 'C 1 2/m 1'
_symmetry_Int_Tables_number 12
loop_
_symmetry_equiv_pos_as_xyz
'x,y,z'
'-x,-y,-z'
'-x,y,-z'
'x,-y,z'
'x+1/2,y+1/2,z'
'-x+1/2,-y+1/2,-z'
'-x+1/2,y+1/2,-z'
'x+1/2,-y+1/2,z'
loop_
_atom_site_label
_atom_site_type_symbol
_atom_site_fract_x
_atom_site_fract_y
_atom_site_fract_z
Li1 Li 0.000 0.124 0.000
Li2 Li 0.000 0.374 0.000
Li3 Li 0.248 0.500 0.998
Li4 Li 0.250 0.250 0.000
Ti1 Ti 0.242 0.500 0.498
Ti2 Ti 0.250 0.250 0.500
V1 V 0.000 0.120 0.500
V2 V 0.000 0.372 0.500
O1 O 0.012 0.500 0.265
O2 O 0.015 0.000 0.268
O3 O 0.015 0.246 0.270
O4 O 0.249 0.374 0.735
O5 O 0.250 0.124 0.732
```

Top 6 peaks for 2θ = 10–80°, by intensity:
2θ (°)	intensity	index
17.95	100	0 0 1
42.75	91	2 4 -2
35.41	27	2 4 -1
61.73	16	2 4 2
62.34	16	6 4 -2
56.24	13	4 0 1

Starting from a crystal structure in the Materials Project, relaxed with GGA+U, the XRD peak list of Li2TiV3O8 was calculated for λ = 1.5418 Å (Cu Kα).
Lines closer than 0.1° are merged.

Crystal structure
```
data_Li2TiV3O8
_chemical_formula_sum 'Li8 Ti4 V12 O32'
_cell_length_a 8.356
_cell_length_b 8.351
_cell_length_c 8.359
_cell_angle_alpha 90.00
_cell_angle_beta 90.04
_cell_angle_gamma 90.00
_symmetry_space_group_name_H-M 'P 1 21 1'
_symmetry_Int_Tables_number 4
loop_
_symmetry_equiv_pos_as_xyz
'x,y,z'
'-x,y+1/2,-z'
loop_
_atom_site_label
_atom_site_type_symbol
_atom_site_fract_x
_atom_site_fract_y
_atom_site_fract_z
Li1 Li 0.001 0.000 0.249
Li2 Li 0.246 0.748 0.997
Li3 Li 0.254 0.251 0.497
Li4 Li 0.499 0.999 0.749
Ti1 Ti 0.129 0.370 0.121
Ti2 Ti 0.371 0.629 0.621
V1 V 0.118 0.625 0.371
V2 V 0.120 0.881 0.624
V3 V 0.125 0.120 0.867
V4 V 0.374 0.879 0.367
V5 V 0.380 0.118 0.124
V6 V 0.382 0.374 0.871
O1 O 0.112 0.885 0.862
O2 O 0.113 0.612 0.135
O3 O 0.115 0.386 0.363
O4 O 0.119 0.118 0.630
O5 O 0.136 0.638 0.613
O6 O 0.137 0.136 0.110
O7 O 0.137 0.863 0.386
O8 O 0.139 0.362 0.886
O9 O 0.361 0.637 0.386
O10 O 0.363 0.136 0.886
O11 O 0.363 0.863 0.610
O12 O 0.364 0.361 0.113
O13 O 0.380 0.880 0.130
O14 O 0.385 0.613 0.863
O15 O 0.387 0.387 0.635
O16 O 0.388 0.114 0.362
```

Top 6 peaks for 2θ = 10–80°, by intensity:
2θ (°)	intensity	index
18.39	100	1 1 1
43.32	60	4 0 0
35.64	46	1 3 1
62.92	35	4 4 0
57.30	20	5 1 1
66.17	13	3 1 5